Starting from DFT lattice parameters and positions (PBE), the powder diffraction line list of YGa2PdPt2 was simulated for Cu Kα (λ = 1.5418 Å).
Peak positions follow from Bragg's law for the DFT cell and can differ from measured ones.

```
6
Lattice="4.3721 0.0000 0.0000 -2.1860 3.7863 0.0000 0.0000 0.0000 6.4550" Properties=species:S:1:pos:R:3 pbc="T T T"
Y 0.0000 0.0000 0.0000
Ga 0.0000 2.5242 2.0130
Ga 2.1860 1.2621 4.4420
Pd 0.0000 0.0000 3.2275
Pt 0.0000 2.5242 4.6833
Pt 2.1860 1.2621 1.7717
```

Top 10 peaks for 5 to 70 degrees two-theta, in order of rising 2θ:
13.72 deg, d 6.455, I 164; 27.31 deg, d 3.266, I 509; 27.64 deg, d 3.227, I 132; 36.58 deg, d 2.456, I 993; 41.30 deg, d 2.186, I 1000; 48.67 deg, d 1.871, I 214; 50.22 deg, d 1.817, I 101; 50.42 deg, d 1.810, I 160; 56.34 deg, d 1.633, I 283; 60.36 deg, d 1.533, I 101